Computed powder diffraction line list
Compound: PmEr7Cd4
Radiation: CuKα
Structure: a cell relaxed with GGA-PBE

Structure:
```
PmEr7Cd4
1.0
7.308 -2.838 0.000
7.308 2.838 0.000
-5.107 0.000 8.203
Pm Er Cd
1 7 4
Direct
0.000 0.000 0.000
0.072 0.072 0.415
0.206 0.206 0.880
0.263 0.263 0.307
0.500 0.500 0.000
0.737 0.737 0.693
0.794 0.794 0.120
0.928 0.928 0.585
0.318 0.318 0.660
0.458 0.458 0.289
0.542 0.542 0.711
0.682 0.682 0.340
```

Most intense lines, 2θ from 5° to 70°, in order of rising 2θ:
| 2theta | d/Å | Rel. int. |
| --- | --- | --- |
| 28.8 | 3.102 | 248 |
| 30.0 | 2.974 | 483 |
| 30.7 | 2.914 | 540 |
| 31.5 | 2.838 | 1000 |
| 31.9 | 2.806 | 309 |
| 32.2 | 2.776 | 440 |
| 33.5 | 2.671 | 237 |
| 35.5 | 2.529 | 737 |
| 44.1 | 2.053 | 343 |
| 45.5 | 1.995 | 233 |


Computed powder diffraction line list
Compound: PrNdC4
Radiation: CuKα
Structure: a cell relaxed with GGA-PBE

Structure:
```
PrNdC4
1.0
3.864 0.000 0.000
0.000 3.863 0.000
-0.021 0.000 6.495
Pr Nd C
1 1 4
Direct
0.000 0.000 0.000
0.500 0.500 0.500
0.000 0.000 0.400
0.000 0.000 0.600
0.500 0.500 0.100
0.500 0.500 0.900
```

Most intense lines, 2θ from 5° to 70°, in order of rising 2θ:
| 2theta | d/Å | Rel. int. |
| --- | --- | --- |
| 26.9 | 3.320 | 1000 |
| 27.5 | 3.247 | 348 |
| 32.8 | 2.732 | 528 |
| 43.2 | 2.093 | 201 |
| 43.3 | 2.088 | 199 |
| 47.0 | 1.932 | 184 |
| 48.2 | 1.889 | 219 |
| 55.0 | 1.670 | 298 |
| 55.3 | 1.661 | 144 |
| 69.5 | 1.352 | 96 |


Computed powder diffraction line list
Compound: CdIn2Hg12
Radiation: CuKα
Structure: a cell relaxed with GGA-PBE

Structure:
```
CdIn2Hg12
1.0
6.240 0.000 0.000
0.000 6.240 0.000
0.000 0.000 22.748
Cd In Hg
2 4 24
Direct
0.250 0.750 0.000
0.750 0.250 0.000
0.250 0.750 0.227
0.250 0.750 0.773
0.750 0.250 0.227
0.750 0.250 0.773
0.002 0.502 0.094
0.002 0.998 0.906
0.057 0.557 0.567
0.057 0.943 0.433
0.250 0.250 0.199
0.250 0.250 0.331
0.250 0.250 0.669
0.250 0.250 0.801
0.443 0.557 0.433
0.443 0.943 0.567
0.498 0.502 0.906
0.498 0.998 0.094
0.502 0.002 0.906
0.502 0.498 0.094
0.557 0.057 0.433
0.557 0.443 0.567
0.750 0.750 0.199
0.750 0.750 0.331
0.750 0.750 0.669
0.750 0.750 0.801
0.943 0.057 0.567
0.943 0.443 0.433
0.998 0.002 0.094
0.998 0.498 0.906
```

Most intense lines, 2θ from 5° to 70°, in order of rising 2θ:
| 2theta | d/Å | Rel. int. |
| --- | --- | --- |
| 21.6 | 4.114 | 280 |
| 29.7 | 3.009 | 1000 |
| 32.7 | 2.735 | 340 |
| 34.3 | 2.618 | 251 |
| 34.9 | 2.573 | 308 |
| 35.5 | 2.528 | 323 |
| 37.3 | 2.409 | 914 |
| 40.9 | 2.206 | 685 |
| 55.3 | 1.662 | 318 |
| 56.8 | 1.621 | 224 |


Computed powder diffraction line list
Compound: Tm4Cd
Radiation: CuKα
Structure: a cell relaxed with GGA-PBE

Structure:
```
Tm4Cd
1.0
-2.589 3.333 8.088
2.589 -3.333 8.088
2.589 3.333 -8.088
Tm Cd
8 2
Direct
0.000 0.000 0.000
0.144 0.394 0.750
0.199 0.196 0.003
0.307 0.804 0.503
0.500 0.000 0.500
0.693 0.196 0.497
0.801 0.804 0.997
0.856 0.606 0.250
0.362 0.612 0.750
0.638 0.388 0.250
```

Most intense lines, 2θ from 5° to 70°, in order of rising 2θ:
| 2theta | d/Å | Rel. int. |
| --- | --- | --- |
| 32.4 | 2.761 | 848 |
| 32.6 | 2.744 | 1000 |
| 34.6 | 2.589 | 441 |
| 34.9 | 2.572 | 346 |
| 36.1 | 2.487 | 152 |
| 43.2 | 2.096 | 181 |
| 50.0 | 1.825 | 254 |
| 56.5 | 1.629 | 166 |
| 60.8 | 1.523 | 168 |
| 65.5 | 1.424 | 267 |


Computed powder diffraction line list
Compound: Pa2Mn3Os
Radiation: CuKα
Structure: a cell relaxed with GGA-PBE

Structure:
```
Pa2Mn3Os
1.0
2.570 1.484 4.314
-2.570 1.484 4.314
0.000 -2.967 4.314
Pa Mn Os
2 3 1
Direct
0.124 0.124 0.124
0.876 0.876 0.876
0.000 0.500 0.500
0.500 0.000 0.500
0.500 0.500 0.000
0.500 0.500 0.500
```

Most intense lines, 2θ from 5° to 70°, in order of rising 2θ:
| 2theta | d/Å | Rel. int. |
| --- | --- | --- |
| 20.6 | 4.314 | 323 |
| 34.3 | 2.617 | 268 |
| 34.9 | 2.570 | 834 |
| 40.3 | 2.237 | 539 |
| 40.9 | 2.208 | 1000 |
| 43.0 | 2.104 | 176 |
| 60.9 | 1.520 | 175 |
| 62.6 | 1.484 | 162 |
| 66.3 | 1.410 | 252 |
| 66.7 | 1.403 | 239 |


Computed powder diffraction line list
Compound: La2CeTmS5
Radiation: CuKα
Structure: a cell relaxed with GGA-PBE

Structure:
```
La2CeTmS5
1.0
2.001 -8.475 0.000
2.001 8.475 0.000
0.000 0.000 13.387
La Ce Tm S
4 2 2 10
Direct
0.080 0.920 0.500
0.138 0.862 0.164
0.862 0.138 0.664
0.920 0.080 0.000
0.446 0.554 0.305
0.554 0.446 0.805
0.235 0.765 0.897
0.765 0.235 0.397
0.083 0.917 0.942
0.252 0.748 0.540
0.289 0.711 0.263
0.386 0.614 0.842
0.493 0.507 0.619
0.507 0.493 0.119
0.614 0.386 0.342
0.711 0.289 0.763
0.748 0.252 0.040
0.917 0.083 0.442
```

Most intense lines, 2θ from 5° to 70°, in order of rising 2θ:
| 2theta | d/Å | Rel. int. |
| --- | --- | --- |
| 22.5 | 3.948 | 772 |
| 26.5 | 3.366 | 756 |
| 28.1 | 3.172 | 826 |
| 30.5 | 2.934 | 1000 |
| 32.4 | 2.764 | 396 |
| 34.5 | 2.603 | 362 |
| 35.4 | 2.538 | 510 |
| 45.3 | 2.001 | 380 |
| 45.9 | 1.979 | 371 |
| 49.0 | 1.860 | 430 |


Computed powder diffraction line list
Compound: HgPIr2
Radiation: CuKα
Structure: a cell relaxed with GGA-PBE

Structure:
```
HgPIr2
1.0
-1.477 1.584 7.196
1.477 -1.584 7.196
1.477 1.584 -7.196
Hg P Ir
1 1 2
Direct
0.000 0.000 0.000
0.239 0.739 0.500
0.361 0.361 0.000
0.669 0.169 0.500
```

Most intense lines, 2θ from 5° to 70°, in order of rising 2θ:
| 2theta | d/Å | Rel. int. |
| --- | --- | --- |
| 30.9 | 2.893 | 444 |
| 33.9 | 2.644 | 1000 |
| 35.7 | 2.515 | 133 |
| 37.5 | 2.399 | 308 |
| 43.8 | 2.069 | 689 |
| 43.9 | 2.061 | 422 |
| 49.2 | 1.852 | 153 |
| 58.2 | 1.584 | 131 |
| 65.4 | 1.427 | 112 |
| 67.8 | 1.382 | 231 |


Computed powder diffraction line list
Compound: Ac2ZnPd
Radiation: CuKα
Structure: a cell relaxed with GGA-PBE

Structure:
```
Ac2ZnPd
1.0
3.929 -2.264 0.000
3.929 2.264 0.000
-2.611 0.000 7.299
Ac Zn Pd
2 1 1
Direct
0.000 0.000 0.000
0.178 0.178 0.534
0.421 0.421 0.264
0.755 0.755 0.268
```

Most intense lines, 2θ from 5° to 70°, in order of rising 2θ:
| 2theta | d/Å | Rel. int. |
| --- | --- | --- |
| 12.1 | 7.299 | 215 |
| 23.0 | 3.864 | 629 |
| 28.0 | 3.190 | 633 |
| 30.6 | 2.923 | 1000 |
| 36.7 | 2.446 | 389 |
| 39.8 | 2.266 | 741 |
| 47.2 | 1.925 | 155 |
| 51.0 | 1.791 | 246 |
| 65.7 | 1.421 | 299 |
| 66.5 | 1.406 | 149 |


Computed powder diffraction line list
Compound: PuTlH2Br8
Radiation: CuKα
Structure: a cell relaxed with GGA-PBE

Structure:
```
PuTlH2Br8
1.0
7.457 0.000 0.000
-3.499 7.335 0.000
-0.037 -3.679 8.493
Pu Tl H Br
1 1 2 8
Direct
0.000 0.000 0.000
0.000 0.000 0.500
0.448 0.550 0.294
0.552 0.450 0.706
0.068 0.786 0.727
0.070 0.790 0.143
0.397 0.266 0.082
0.484 0.728 0.433
0.516 0.272 0.567
0.603 0.734 0.918
0.930 0.210 0.857
0.932 0.214 0.273
```

Most intense lines, 2θ from 5° to 70°, in order of rising 2θ:
| 2theta | d/Å | Rel. int. |
| --- | --- | --- |
| 13.2 | 6.731 | 1000 |
| 13.4 | 6.612 | 775 |
| 13.8 | 6.433 | 948 |
| 19.8 | 4.485 | 319 |
| 20.9 | 4.246 | 282 |
| 22.8 | 3.900 | 448 |
| 25.6 | 3.476 | 797 |
| 27.0 | 3.306 | 639 |
| 27.4 | 3.260 | 751 |
| 35.4 | 2.539 | 280 |


Computed powder diffraction line list
Compound: PaFeSnS4
Radiation: CuKα
Structure: a cell relaxed with GGA-PBE

Structure:
```
PaFeSnS4
1.0
6.494 0.000 0.000
0.000 5.962 0.000
-2.575 0.000 7.710
Pa Fe Sn S
2 2 2 8
Direct
0.249 0.250 0.048
0.751 0.750 0.952
0.240 0.750 0.829
0.760 0.250 0.171
0.282 0.250 0.535
0.718 0.750 0.465
0.022 0.505 0.220
0.022 0.995 0.220
0.420 0.750 0.632
0.444 0.750 0.108
0.556 0.250 0.892
0.580 0.250 0.368
0.978 0.005 0.780
0.978 0.495 0.780
```

Most intense lines, 2θ from 5° to 70°, in order of rising 2θ:
| 2theta | d/Å | Rel. int. |
| --- | --- | --- |
| 11.5 | 7.710 | 595 |
| 20.7 | 4.284 | 1000 |
| 23.1 | 3.856 | 270 |
| 27.5 | 3.241 | 811 |
| 29.0 | 3.080 | 284 |
| 30.0 | 2.981 | 529 |
| 30.9 | 2.895 | 424 |
| 34.6 | 2.595 | 672 |
| 38.2 | 2.359 | 508 |
| 42.2 | 2.142 | 463 |


Computed powder diffraction line list
Compound: TiNb14Tc
Radiation: CuKα
Structure: a cell relaxed with GGA-PBE

Structure:
```
TiNb14Tc
1.0
3.298 -4.647 0.000
3.298 4.647 0.000
0.000 0.000 9.330
Ti Nb Tc
1 14 1
Direct
0.000 0.000 0.000
0.000 0.000 0.500
0.000 0.500 0.000
0.000 0.500 0.500
0.246 0.754 0.247
0.246 0.754 0.753
0.257 0.257 0.243
0.257 0.257 0.757
0.500 0.000 0.000
0.500 0.000 0.500
0.500 0.500 0.500
0.743 0.743 0.243
0.743 0.743 0.757
0.754 0.246 0.247
0.754 0.246 0.753
0.500 0.500 0.000
```

Most intense lines, 2θ from 5° to 70°, in order of rising 2θ:
| 2theta | d/Å | Rel. int. |
| --- | --- | --- |
| 16.5 | 5.379 | 6 |
| 19.0 | 4.659 | 8 |
| 38.6 | 2.331 | 1000 |
| 38.8 | 2.324 | 199 |
| 55.8 | 1.647 | 199 |
| 69.9 | 1.346 | 196 |
| 70.0 | 1.345 | 66 |


Computed powder diffraction line list
Compound: TbPmSbN
Radiation: CuKα
Structure: a cell relaxed with GGA-PBE

Structure:
```
TbPmSbN
1.0
-1.807 1.864 7.119
1.807 -1.864 7.119
1.807 1.864 -7.119
Tb Pm Sb N
1 1 1 1
Direct
0.000 0.000 0.000
0.695 0.695 0.000
0.351 0.351 0.000
0.096 0.596 0.500
```

Most intense lines, 2θ from 5° to 70°, in order of rising 2θ:
| 2theta | d/Å | Rel. int. |
| --- | --- | --- |
| 30.5 | 2.932 | 1000 |
| 31.1 | 2.875 | 943 |
| 34.6 | 2.595 | 705 |
| 37.9 | 2.373 | 219 |
| 48.9 | 1.864 | 149 |
| 50.5 | 1.807 | 135 |
| 52.2 | 1.751 | 394 |
| 59.1 | 1.564 | 302 |
| 60.2 | 1.538 | 287 |
| 63.4 | 1.466 | 139 |


Computed powder diffraction line list
Compound: TbHo8Er2
Radiation: CuKα
Structure: a cell relaxed with GGA-PBE

Structure:
```
TbHo8Er2
1.0
9.421 -3.432 0.000
9.421 3.432 0.000
-0.279 0.000 5.495
Tb Ho Er
1 8 2
Direct
0.000 0.000 0.000
0.133 0.602 0.268
0.188 0.188 0.232
0.398 0.867 0.732
0.453 0.453 0.764
0.547 0.547 0.236
0.602 0.133 0.268
0.812 0.812 0.768
0.867 0.398 0.732
0.284 0.284 0.749
0.716 0.716 0.251
```

Most intense lines, 2θ from 5° to 70°, in order of rising 2θ:
| 2theta | d/Å | Rel. int. |
| --- | --- | --- |
| 31.9 | 2.802 | 912 |
| 32.1 | 2.785 | 689 |
| 32.3 | 2.773 | 1000 |
| 32.4 | 2.760 | 524 |
| 32.6 | 2.747 | 513 |
| 33.6 | 2.666 | 400 |
| 46.8 | 1.940 | 194 |
| 53.4 | 1.716 | 185 |
| 56.9 | 1.617 | 264 |
| 63.7 | 1.461 | 184 |